Calculated X-ray powder pattern of KAcCrO5 for CuKα, from a DFT-relaxed cell (PBE+U, Alexandria).

Largest 10 diffraction maxima, in order of falling intensity, 2θ = 10–80°:
hkl 1 1 0, 2θ 14.74, I = 100
hkl 1 1 -2, 2θ 22.75, I = 95
hkl 1 3 0, 2θ 28.71, I = 65
hkl 2 0 0, 2θ 24.03, I = 62
hkl 0 2 2, 2θ 28.61, I = 53
hkl 0 2 0, 2θ 17.25, I = 29
hkl 1 1 2, 2θ 30.93, I = 28
hkl 2 2 -2, 2θ 31.17, I = 27
hkl 3 1 -2, 2θ 35.59, I = 27
hkl 3 3 -4, 2θ 53.97, I = 23

Cell and atoms:
```
data_KAcCrO5
_chemical_formula_sum 'K4 Ac4 Cr4 O20'
_symmetry_space_group_name_H-M 'C 1 2/c 1'
_symmetry_Int_Tables_number 15
_symmetry_space_group_name_Hall '-C 2yc'
_cell_length_a 8.0573
_cell_length_b 10.2784
_cell_length_c 8.5448
_cell_angle_alpha 90.00
_cell_angle_beta 113.20
_cell_angle_gamma 90.00
loop_
_atom_site_label
_atom_site_fract_x
_atom_site_fract_y
_atom_site_fract_z
K1 0.0000 0.1683 0.2500
Ac1 0.0000 0.5000 0.0000
Cr1 0.0000 0.1737 0.7500
O1 0.0000 0.4150 0.2500
O2 0.0858 0.2681 0.6402
O3 0.1601 0.0774 0.8841
```